Diffraction record for ScUTl2O6. The X-ray powder pattern is simulated, not measured: it uses DFT lattice parameters and positions (GGA-PBE) and a wavelength of 1.5418 Å.
Intensities are scaled so that the largest is 100.

The 8 most intense peaks (2θ from 15° to 90°), in order of rising 2θ:
| 2theta | d [Å] | intensity | h k l |
| --- | --- | --- | --- |
| 18.19 | 4.876 | 17 | 1 1 1 |
| 29.92 | 2.986 | 100 | 2 2 0 |
| 35.24 | 2.547 | 11 | 1 1 3 |
| 42.83 | 2.112 | 28 | 4 0 0 |
| 53.12 | 1.724 | 42 | 4 2 2 |
| 62.17 | 1.493 | 18 | 4 4 0 |
| 70.49 | 1.336 | 12 | 2 6 0 |
| 86.16 | 1.129 | 23 | 6 4 2 |

Cell and atoms:
abc: 8.440 8.445 8.453
angles: 90.00 90.00 90.00
Space group Fmmm (No. 69)
Unique sites:
Sc 0.000 0.000 0.000 [4 per cell]
U 0.000 0.000 0.500 [4 per cell]
Tl 0.250 0.250 0.250 [8 per cell]
O 0.000 0.000 0.252 [8 per cell]
O 0.000 0.248 0.500 [8 per cell]
O 0.248 0.000 0.500 [8 per cell]